(1)
# MgMn5Cr2O12
Simulated powder diffractogram, Cu Kα (weighted mean of Kα1 and Kα2). Input: a crystal structure in the Materials Project, relaxed with PBE+U.

Atomic structure:
```
MgMn5Cr2O12
1.0
5.0610 0.0000 0.0000
2.4218 4.6637 0.0000
2.4664 0.0776 9.6429
Mg Mn Cr O
1 5 2 12
Direct
0.0000 0.0000 0.0000
0.1781 0.5690 0.5372
0.2520 0.9617 0.2743
0.5880 0.2818 0.2730
0.6762 0.6159 0.0005
0.7512 0.9779 0.7580
0.4402 0.5989 0.7626
0.9174 0.6278 0.2658
0.0046 0.6958 0.8898
0.1549 0.8717 0.6430
0.1939 0.3121 0.3721
0.2752 0.6923 0.1393
0.4251 0.8968 0.8852
0.4863 0.2898 0.6607
0.5344 0.5922 0.3764
0.6366 0.9626 0.1642
0.7116 0.2854 0.8769
0.7714 0.6856 0.6490
0.9075 0.9216 0.3743
0.9150 0.3349 0.1356
```

The 10 most intense peaks (10 to 90 degrees two-theta), in order of rising 2θ:
2theta, Rel. int.
18.4, 77.5
19.0, 47.1
20.7, 30.4
24.1, 38.2
24.5, 48.1
41.2, 100.0
41.6, 99.6
45.5, 80.5
60.6, 25.8
62.2, 28.4



(2)
# LiMnBO4
Simulated powder diffractogram, Cu Kα (weighted mean of Kα1 and Kα2). Input: a crystal structure in the Materials Project, relaxed with PBE+U.

Atomic structure:
```
LiMnBO4
1.0
9.5200 0.0000 0.0000
0.0000 5.5490 0.0000
0.0000 0.0000 4.4877
Li Mn B O
4 4 4 16
Direct
0.0000 0.0000 0.0000
0.0000 0.5000 0.0000
0.5000 0.0000 0.5000
0.5000 0.5000 0.5000
0.2285 0.2500 0.4849
0.2715 0.7500 0.9849
0.7285 0.2500 0.0151
0.7715 0.7500 0.5151
0.0913 0.7500 0.4355
0.4087 0.2500 0.9355
0.5913 0.7500 0.0645
0.9087 0.2500 0.5645
0.0510 0.2500 0.6802
0.1034 0.7500 0.7500
0.1687 0.5411 0.2713
0.1687 0.9589 0.2713
0.3313 0.0411 0.7713
0.3313 0.4589 0.7713
0.3966 0.2500 0.2500
0.4490 0.7500 0.1802
0.5510 0.2500 0.8198
0.6034 0.7500 0.7500
0.6687 0.5411 0.2287
0.6687 0.9589 0.2287
0.8313 0.0411 0.7287
0.8313 0.4589 0.7287
0.8966 0.2500 0.2500
0.9490 0.7500 0.3198
```

The 10 most intense peaks (10 to 90 degrees two-theta), in order of rising 2θ:
2theta, Rel. int.
18.6, 45.6
21.9, 11.6
27.2, 100.0
32.3, 23.3
38.3, 38.7
42.8, 18.6
43.0, 12.5
54.5, 14.5
54.9, 10.7
56.1, 27.0



(3)
# Li8Mn3Fe5B8O24
Simulated powder diffractogram, Cu Kα (weighted mean of Kα1 and Kα2). Input: a crystal structure in the Materials Project, relaxed with PBE+U.

Atomic structure:
```
Li8Mn3Fe5B8O24
1.0
5.2286 0.0000 0.0000
0.1129 6.0275 0.0000
0.2319 2.3587 16.0261
Li Mn Fe B O
8 3 5 8 24
Direct
0.0000 0.0000 0.0000
0.9996 0.4983 0.5032
0.1940 0.3792 0.0319
0.1954 0.8752 0.5337
0.4978 0.7467 0.7533
0.4996 0.2461 0.2528
0.6953 0.1268 0.7839
0.6951 0.6256 0.2846
0.0175 0.0865 0.1841
0.5163 0.3317 0.4344
0.6771 0.5369 0.1025
0.0115 0.5876 0.6824
0.1817 0.2879 0.8499
0.1858 0.7847 0.3523
0.5137 0.8411 0.9348
0.6786 0.0344 0.6054
0.0163 0.7746 0.8450
0.0186 0.2744 0.3463
0.1772 0.1002 0.6894
0.1778 0.5974 0.1921
0.5151 0.0277 0.0940
0.5193 0.5243 0.5973
0.6766 0.3517 0.9389
0.6786 0.8484 0.4411
0.0284 0.7299 0.2397
0.0333 0.2315 0.7384
0.0566 0.9878 0.6321
0.0599 0.4824 0.1348
0.1348 0.3925 0.4029
0.1417 0.8897 0.9009
0.1623 0.6415 0.7968
0.1688 0.1398 0.3002
0.2544 0.0489 0.0815
0.2579 0.5491 0.5862
0.4387 0.5764 0.2048
0.4400 0.0762 0.7009
0.5291 0.4851 0.9866
0.5330 0.9779 0.4902
0.5516 0.2352 0.8833
0.5541 0.7373 0.3836
0.6348 0.1414 0.1511
0.6417 0.6390 0.6544
0.6639 0.8947 0.0461
0.6645 0.3919 0.5496
0.7552 0.8002 0.8335
0.7578 0.2974 0.3323
0.9370 0.3263 0.9508
0.9392 0.8243 0.4519
```

The 10 most intense peaks (10 to 90 degrees two-theta), in order of rising 2θ:
2theta, Rel. int.
20.4, 80.0
20.6, 23.1
22.2, 32.8
22.5, 61.8
33.6, 100.0
34.1, 31.6
34.3, 25.4
34.7, 24.9
40.1, 24.2
41.0, 32.8



(4)
# Li7Mn10O20
Simulated powder diffractogram, Cu Kα (weighted mean of Kα1 and Kα2). Input: a crystal structure in the Materials Project, relaxed with PBE+U.

Atomic structure:
```
Li7Mn10O20
1.0
5.7167 0.0000 0.0000
-2.7091 5.4924 0.0000
-0.4593 -1.2799 12.2668
Li Mn O
7 10 20
Direct
0.0000 0.0000 0.0000
0.0118 0.9230 0.7978
0.1314 0.2721 0.6861
0.3209 0.8245 0.1119
0.4998 0.9616 0.7716
0.5684 0.5702 0.3487
0.7633 0.4310 0.1549
0.0514 0.5042 0.3687
0.0578 0.5441 0.8773
0.2649 0.4055 0.1452
0.3458 0.0333 0.3523
0.3724 0.7096 0.5848
0.5459 0.5407 0.8676
0.5584 0.1118 0.9721
0.6956 0.3497 0.6093
0.8654 0.9875 0.2445
0.8875 0.9394 0.5172
0.0319 0.4284 0.5277
0.1242 0.6145 0.2173
0.1884 0.9002 0.6372
0.2034 0.8678 0.9263
0.2214 0.2598 0.3045
0.2933 0.1300 0.5837
0.2956 0.5119 0.9776
0.3044 0.5832 0.7653
0.3748 0.2111 0.8239
0.3975 0.7815 0.4173
0.3996 0.1700 0.0980
0.6115 0.6684 0.1910
0.6139 0.5810 0.5408
0.7057 0.2302 0.3243
0.7178 0.0442 0.6408
0.7251 0.9384 0.8892
0.7809 0.4728 0.9706
0.8141 0.5569 0.7668
0.8957 0.1474 0.1152
0.9603 0.8405 0.3705
```

The 10 most intense peaks (10 to 90 degrees two-theta), in order of rising 2θ:
2theta, Rel. int.
18.5, 100.0
19.3, 67.5
21.7, 97.5
27.9, 70.0
28.4, 48.3
29.1, 65.5
29.8, 45.4
31.9, 53.4
32.8, 64.5
34.2, 45.6



(5)
# Zn2SbMoO6
Simulated powder diffractogram, Cu Kα (weighted mean of Kα1 and Kα2). Input: a crystal structure in the Materials Project, relaxed with PBE+U.

Atomic structure:
```
Zn2SbMoO6
1.0
5.3801 0.0000 0.0000
0.0000 8.0772 0.0000
-0.0785 0.0000 5.4023
Zn Sb Mo O
4 2 2 12
Direct
0.0109 0.2500 0.4673
0.4805 0.2500 0.9851
0.5195 0.7500 0.0149
0.9891 0.7500 0.5327
0.5000 0.0000 0.5000
0.5000 0.5000 0.5000
0.0000 0.0000 0.0000
0.0000 0.5000 0.0000
0.1233 0.2500 0.1012
0.1538 0.5703 0.3274
0.1538 0.9297 0.3274
0.3272 0.5729 0.8305
0.3272 0.9271 0.8305
0.3873 0.2500 0.5985
0.6127 0.7500 0.4015
0.6728 0.0729 0.1695
0.6728 0.4271 0.1695
0.8462 0.0703 0.6726
0.8462 0.4297 0.6726
0.8767 0.7500 0.8988
```

The 10 most intense peaks (10 to 90 degrees two-theta), in order of rising 2θ:
2theta, Rel. int.
32.2, 100.0
32.4, 99.3
33.2, 46.3
33.3, 46.5
44.9, 26.0
57.0, 47.3
58.5, 21.7
58.6, 24.0
58.9, 21.5
59.1, 22.1



(6)
# KMg2AlFeSi3O12
Simulated powder diffractogram, Cu Kα (weighted mean of Kα1 and Kα2). Input: a crystal structure in the Materials Project, relaxed with PBE+U.

Atomic structure:
```
KMg2AlFeSi3O12
1.0
5.3026 0.0000 0.0000
2.6250 4.6447 0.0000
1.5704 -0.0829 10.3234
K Mg Al Fe Si O
1 2 1 1 3 12
Direct
0.0000 0.0000 0.0000
0.1658 0.6838 0.4694
0.8438 0.3279 0.4687
0.6024 0.6749 0.2008
0.4986 0.0028 0.4689
0.2698 0.3363 0.1969
0.4107 0.3343 0.7419
0.7457 0.6701 0.7419
0.0606 0.5103 0.8013
0.1759 0.0109 0.5630
0.2132 0.3363 0.3603
0.3788 0.5651 0.1443
0.4631 0.3352 0.5839
0.5097 0.0173 0.1402
0.5420 0.6750 0.3734
0.5554 0.0034 0.7998
0.5671 0.4974 0.7996
0.8036 0.6678 0.5847
0.8222 0.0031 0.3847
0.9635 0.4313 0.1426
```

The 10 most intense peaks (10 to 90 degrees two-theta), in order of rising 2θ:
2theta, Rel. int.
19.4, 48.5
22.3, 41.1
25.7, 44.2
25.9, 100.0
27.7, 25.0
30.3, 22.8
34.0, 36.6
34.2, 60.4
36.6, 35.9
59.7, 22.1



(7)
# Li9Mn7O16
Simulated powder diffractogram, Cu Kα (weighted mean of Kα1 and Kα2). Input: a crystal structure in the Materials Project, relaxed with PBE+U.

Atomic structure:
```
Li9Mn7O16
1.0
9.7400 -2.8705 0.0000
9.7400 2.8705 0.0000
-0.6108 0.0000 5.3041
Li Mn O
9 7 16
Direct
0.0000 0.0000 0.0000
0.1197 0.1197 0.7522
0.1207 0.6295 0.7483
0.3705 0.8793 0.2517
0.3777 0.3777 0.2561
0.6223 0.6223 0.7439
0.6295 0.1207 0.7483
0.8793 0.3705 0.2517
0.8803 0.8803 0.2478
0.0000 0.5000 0.0000
0.2487 0.7513 0.5000
0.2500 0.2500 0.5005
0.5000 0.0000 0.0000
0.5000 0.5000 0.0000
0.7500 0.7500 0.4995
0.7513 0.2487 0.5000
0.0578 0.0578 0.3981
0.0585 0.5582 0.3950
0.1897 0.1897 0.1008
0.2078 0.6894 0.1619
0.3097 0.3097 0.8989
0.3106 0.7922 0.8381
0.4418 0.4418 0.6101
0.4418 0.9415 0.6050
0.5582 0.0585 0.3950
0.5582 0.5582 0.3899
0.6894 0.2078 0.1619
0.6903 0.6903 0.1011
0.7922 0.3106 0.8381
0.8103 0.8103 0.8992
0.9415 0.4418 0.6050
0.9422 0.9422 0.6019
```

The 10 most intense peaks (10 to 90 degrees two-theta), in order of rising 2θ:
2theta, Rel. int.
18.3, 100.0
33.8, 19.1
36.3, 23.2
40.6, 35.3
44.3, 54.8
46.9, 10.1
58.5, 9.3
61.4, 16.7
62.0, 16.3
65.0, 7.5



(8)
# BaNdEuFeO6
Simulated powder diffractogram, Cu Kα (weighted mean of Kα1 and Kα2). Input: a crystal structure in the Materials Project, relaxed with PBE+U.

Atomic structure:
```
BaNdEuFeO6
1.0
0.0000 4.1979 4.1979
4.1979 0.0000 4.1979
4.1979 4.1979 0.0000
Ba Nd Eu Fe O
1 1 1 1 6
Direct
0.0000 0.0000 0.0000
0.7500 0.7500 0.7500
0.5000 0.5000 0.5000
0.2500 0.2500 0.2500
0.0209 0.0209 0.4791
0.0209 0.4791 0.0209
0.0209 0.4791 0.4791
0.4791 0.0209 0.0209
0.4791 0.0209 0.4791
0.4791 0.4791 0.0209
```

The 10 most intense peaks (10 to 90 degrees two-theta), in order of rising 2θ:
2theta, Rel. int.
18.3, 5.5
30.1, 100.0
35.5, 5.2
37.1, 5.7
43.1, 29.9
53.5, 39.5
62.6, 18.3
71.0, 17.9
79.0, 6.0
86.8, 21.3